Theoretical X-ray powder pattern of AlTl2AgBr6 for Cu Ka, from a DFT-relaxed cell (PBE, Alexandria).
Lines closer than 0.1° are merged.

Atomic structure:
```
AlTl2AgBr6
1.0
7.4500 0.0000 0.0000
-3.7250 6.4519 0.0000
0.0000 0.0000 7.0292
Al Tl Ag Br
1 2 1 6
direct
0.0000 0.0000 0.0000 Al
0.3333 0.6667 0.8581 Tl
0.6667 0.3333 0.1419 Tl
0.0000 0.0000 0.5000 Ag
0.1593 0.3186 0.2112 Br
0.1593 0.8407 0.2112 Br
0.3186 0.1593 0.7888 Br
0.6814 0.8407 0.2112 Br
0.8407 0.1593 0.7888 Br
0.8407 0.6814 0.7888 Br
```

The 10 most intense peaks (5° ≤ 2θ ≤ 70°), in order of rising 2θ:
2θ 12.6, rel. 20; 2θ 18.7, rel. 33; 2θ 23.9, rel. 24; 2θ 28.9, rel. 18; 2θ 30.5, rel. 100; 2θ 37.9, rel. 46; 2θ 45.3, rel. 12; 2θ 48.9, rel. 26; 2θ 58.7, rel. 15; 2θ 63.8, rel. 13

=====

Theoretical X-ray powder pattern of Ca3Al7Ag2 for Cu Ka, from a DFT-relaxed cell (PBE, Alexandria).
Lines closer than 0.1° are merged.

Atomic structure:
```
Ca3Al7Ag2
1.0
4.8824 -2.8221 0.0000
4.8824 2.8221 0.0000
-3.2188 0.0000 8.9489
Ca Al Ag
3 7 2
direct
0.0000 0.0000 0.0000 Ca
0.1428 0.1428 0.4278 Ca
0.8572 0.8572 0.5722 Ca
0.0766 0.5873 0.2474 Al
0.4127 0.9234 0.7526 Al
0.4144 0.4144 0.7530 Al
0.5000 0.5000 0.5000 Al
0.5856 0.5856 0.2470 Al
0.5873 0.0766 0.2474 Al
0.9234 0.4127 0.7526 Al
0.3357 0.3357 0.0068 Ag
0.6643 0.6643 0.9932 Ag
```

The 10 most intense peaks (5° ≤ 2θ ≤ 70°), in order of rising 2θ:
2θ 9.9, rel. 98; 2θ 18.5, rel. 25; 2θ 19.8, rel. 27; 2θ 31.7, rel. 80; 2θ 33.3, rel. 35; 2θ 37.7, rel. 100; 2θ 37.8, rel. 50; 2θ 40.3, rel. 24; 2θ 60.5, rel. 29; 2θ 66.3, rel. 24

=====

Theoretical X-ray powder pattern of CaAl5Ag3 for Cu Ka, from a DFT-relaxed cell (PBE, Alexandria).
Lines closer than 0.1° are merged.

Atomic structure:
```
CaAl5Ag3
1.0
2.0264 -6.6845 0.0000
2.0264 6.6845 0.0000
0.0000 0.0000 13.2756
Ca Al Ag
2 10 6
direct
0.1393 0.8607 0.7500 Ca
0.8607 0.1393 0.2500 Ca
0.0000 0.0000 0.0000 Al
0.0000 0.0000 0.5000 Al
0.1939 0.8061 0.0584 Al
0.1939 0.8061 0.4416 Al
0.4353 0.5647 0.6479 Al
0.4353 0.5647 0.8521 Al
0.5647 0.4353 0.1479 Al
0.5647 0.4353 0.3521 Al
0.8061 0.1939 0.5584 Al
0.8061 0.1939 0.9416 Al
0.1531 0.8469 0.2500 Ag
0.3852 0.6148 0.0608 Ag
0.3852 0.6148 0.4392 Ag
0.6148 0.3852 0.5608 Ag
0.6148 0.3852 0.9392 Ag
0.8469 0.1531 0.7500 Ag
```

The 10 most intense peaks (5° ≤ 2θ ≤ 70°), in order of rising 2θ:
2θ 23.9, rel. 36; 2θ 24.1, rel. 63; 2θ 26.6, rel. 100; 2θ 32.8, rel. 65; 2θ 35.6, rel. 23; 2θ 40.4, rel. 30; 2θ 41.2, rel. 45; 2θ 42.8, rel. 28; 2θ 44.7, rel. 32; 2θ 45.6, rel. 20

=====

Theoretical X-ray powder pattern of Ca3Al2Ag9 for Cu Ka, from a DFT-relaxed cell (PBE, Alexandria).
Lines closer than 0.1° are merged.

Atomic structure:
```
Ca3Al2Ag9
1.0
-2.2540 5.1510 6.5130
2.2540 -5.1510 6.5130
2.2540 5.1510 -6.5130
Ca Al Ag
3 2 9
direct
0.0000 0.0000 0.0000 Ca
0.3047 0.3047 0.0000 Ca
0.6953 0.6953 0.0000 Ca
0.2926 0.5000 0.7926 Al
0.7074 0.5000 0.2074 Al
0.0317 0.6656 0.3660 Ag
0.1592 0.8772 0.2820 Ag
0.2996 0.6656 0.6340 Ag
0.4048 0.1228 0.2820 Ag
0.5000 0.0000 0.5000 Ag
0.5952 0.8772 0.7180 Ag
0.7004 0.3344 0.3660 Ag
0.8408 0.1228 0.7180 Ag
0.9683 0.3344 0.6340 Ag
```

The 10 most intense peaks (5° ≤ 2θ ≤ 70°), in order of rising 2θ:
2θ 17.2, rel. 31; 2θ 21.5, rel. 65; 2θ 32.5, rel. 57; 2θ 32.8, rel. 63; 2θ 33.5, rel. 84; 2θ 35.6, rel. 34; 2θ 40.0, rel. 100; 2θ 40.9, rel. 56; 2θ 43.2, rel. 47; 2θ 43.8, rel. 37

=====

Theoretical X-ray powder pattern of Ca8Al2Ag for Cu Ka, from a DFT-relaxed cell (PBE, Alexandria).
Lines closer than 0.1° are merged.

Atomic structure:
```
Ca8Al2Ag
1.0
-2.6539 4.4913 7.3424
2.6539 -4.4913 7.3424
2.6539 4.4913 -7.3424
Ca Al Ag
8 2 1
direct
0.1271 0.3411 0.7860 Ca
0.1342 0.1342 0.0000 Ca
0.3232 0.0000 0.3232 Ca
0.4450 0.6589 0.7860 Ca
0.5550 0.3411 0.2140 Ca
0.6768 0.0000 0.6768 Ca
0.8658 0.8658 0.0000 Ca
0.8729 0.6589 0.2140 Ca
0.3043 0.8043 0.5000 Al
0.6957 0.1957 0.5000 Al
0.0000 0.5000 0.5000 Ag
```

The 10 most intense peaks (5° ≤ 2θ ≤ 70°), in order of rising 2θ:
2θ 11.5, rel. 24; 2θ 22.9, rel. 22; 2θ 30.5, rel. 26; 2θ 31.3, rel. 41; 2θ 31.9, rel. 100; 2θ 33.8, rel. 29; 2θ 36.7, rel. 15; 2θ 46.1, rel. 15; 2θ 50.7, rel. 11; 2θ 59.2, rel. 16

=====

Theoretical X-ray powder pattern of CaAl6Ag4 for Cu Ka, from a DFT-relaxed cell (PBE, Alexandria).
Lines closer than 0.1° are merged.

Atomic structure:
```
CaAl6Ag4
1.0
7.5995 0.0000 0.0000
-3.7997 6.5813 0.0000
0.0000 0.0000 4.1468
Ca Al Ag
1 6 4
direct
0.0000 0.0000 0.0000 Ca
0.2035 0.4069 0.5000 Al
0.2035 0.7965 0.5000 Al
0.5335 0.0670 0.0000 Al
0.5335 0.4665 0.0000 Al
0.5931 0.7965 0.5000 Al
0.9330 0.4665 0.0000 Al
0.3333 0.6667 0.0000 Ag
0.3974 0.1987 0.5000 Ag
0.8013 0.1987 0.5000 Ag
0.8013 0.6026 0.5000 Ag
```

The 10 most intense peaks (5° ≤ 2θ ≤ 70°), in order of rising 2θ:
2θ 25.4, rel. 77; 2θ 27.1, rel. 94; 2θ 31.9, rel. 65; 2θ 34.8, rel. 65; 2θ 36.1, rel. 48; 2θ 42.4, rel. 100; 2θ 43.7, rel. 37; 2θ 46.9, rel. 60; 2θ 47.9, rel. 36; 2θ 52.1, rel. 29

=====

Theoretical X-ray powder pattern of CaAl4Ag2 for Cu Ka, from a DFT-relaxed cell (PBE, Alexandria).
Lines closer than 0.1° are merged.

Atomic structure:
```
CaAl4Ag2
1.0
1.9522 -8.3634 0.0000
1.9522 8.3634 0.0000
0.0000 0.0000 4.2288
Ca Al Ag
1 4 2
direct
0.0000 0.0000 0.0000 Ca
0.1911 0.8089 0.5000 Al
0.3110 0.6890 0.0000 Al
0.6890 0.3110 0.0000 Al
0.8089 0.1911 0.5000 Al
0.4167 0.5833 0.5000 Ag
0.5833 0.4167 0.5000 Ag
```

The 10 most intense peaks (5° ≤ 2θ ≤ 70°), in order of rising 2θ:
2θ 10.6, rel. 42; 2θ 21.0, rel. 59; 2θ 23.4, rel. 64; 2θ 30.1, rel. 34; 2θ 31.6, rel. 100; 2θ 35.2, rel. 38; 2θ 35.3, rel. 54; 2θ 38.7, rel. 54; 2θ 41.5, rel. 78; 2θ 42.8, rel. 38

=====

Theoretical X-ray powder pattern of Ca4AlAg3 for Cu Ka, from a DFT-relaxed cell (PBE, Alexandria).
Lines closer than 0.1° are merged.

Atomic structure:
```
Ca4AlAg3
1.0
4.0451 0.0000 0.0000
0.0000 4.6456 0.0000
0.0000 0.0000 11.6116
Ca Al Ag
4 1 3
direct
0.0000 0.0000 0.0000 Ca
0.0000 0.5000 0.2874 Ca
0.5000 0.0000 0.4963 Ca
0.5000 0.5000 0.7916 Ca
0.0000 0.0000 0.7121 Al
0.0000 0.5000 0.5800 Ag
0.5000 0.0000 0.2186 Ag
0.5000 0.5000 0.0703 Ag
```

The 10 most intense peaks (5° ≤ 2θ ≤ 70°), in order of rising 2θ:
2θ 7.6, rel. 36; 2θ 15.3, rel. 50; 2θ 23.3, rel. 51; 2θ 30.3, rel. 94; 2θ 32.0, rel. 29; 2θ 36.5, rel. 59; 2θ 37.5, rel. 100; 2θ 38.8, rel. 39; 2θ 44.8, rel. 24; 2θ 59.1, rel. 28

=====

Theoretical X-ray powder pattern of CaAl7Ag12 for Cu Ka, from a DFT-relaxed cell (PBE, Alexandria).
Lines closer than 0.1° are merged.

Atomic structure:
```
CaAl7Ag12
1.0
-4.8045 4.8045 4.8045
4.8045 -4.8045 4.8045
4.8045 4.8045 -4.8045
Ca Al Ag
1 7 12
direct
0.0000 0.0000 0.0000 Ca
0.0000 0.0000 0.5000 Al
0.0000 0.5000 0.0000 Al
0.0000 0.5000 0.5000 Al
0.5000 0.0000 0.0000 Al
0.5000 0.0000 0.5000 Al
0.5000 0.5000 0.0000 Al
0.5000 0.5000 0.5000 Al
0.1210 0.8421 0.2789 Ag
0.1579 0.2789 0.4368 Ag
0.1579 0.7211 0.8790 Ag
0.2789 0.1210 0.8421 Ag
0.2789 0.4368 0.1579 Ag
0.4368 0.1579 0.2789 Ag
0.5632 0.8421 0.7211 Ag
0.7211 0.5632 0.8421 Ag
0.7211 0.8790 0.1579 Ag
0.8421 0.2789 0.1210 Ag
0.8421 0.7211 0.5632 Ag
0.8790 0.1579 0.7211 Ag
```

The 10 most intense peaks (5° ≤ 2θ ≤ 70°), in order of rising 2θ:
2θ 13.0, rel. 25; 2θ 22.7, rel. 39; 2θ 29.4, rel. 95; 2θ 32.3, rel. 28; 2θ 34.9, rel. 100; 2θ 37.4, rel. 26; 2θ 42.1, rel. 68; 2θ 46.3, rel. 33; 2θ 55.8, rel. 62; 2θ 59.3, rel. 24

=====

Theoretical X-ray powder pattern of Ca2Al5Ag12 for Cu Ka, from a DFT-relaxed cell (PBE, Alexandria).
Lines closer than 0.1° are merged.

Atomic structure:
```
Ca2Al5Ag12
1.0
4.7223 2.7264 4.7433
-4.7223 2.7264 4.7433
0.0000 -5.4529 4.7433
Ca Al Ag
2 5 12
direct
0.1572 0.1572 0.1572 Ca
0.8428 0.8428 0.8428 Ca
0.0000 0.5000 0.5000 Al
0.4080 0.4080 0.4080 Al
0.5000 0.0000 0.5000 Al
0.5000 0.5000 0.0000 Al
0.5920 0.5920 0.5920 Al
0.1598 0.1598 0.6342 Ag
0.1598 0.6342 0.1598 Ag
0.1993 0.5000 0.8007 Ag
0.1993 0.8007 0.5000 Ag
0.3658 0.8402 0.8402 Ag
0.5000 0.1993 0.8007 Ag
0.5000 0.8007 0.1993 Ag
0.6342 0.1598 0.1598 Ag
0.8007 0.1993 0.5000 Ag
0.8007 0.5000 0.1993 Ag
0.8402 0.3658 0.8402 Ag
0.8402 0.8402 0.3658 Ag
```

The 10 most intense peaks (5° ≤ 2θ ≤ 70°), in order of rising 2θ:
2θ 18.8, rel. 55; 2θ 29.6, rel. 12; 2θ 32.8, rel. 17; 2θ 33.4, rel. 34; 2θ 37.9, rel. 31; 2θ 38.1, rel. 100; 2θ 42.7, rel. 18; 2θ 42.8, rel. 61; 2θ 44.8, rel. 13; 2θ 68.6, rel. 12

=====

Theoretical X-ray powder pattern of Ca2Al3Ag4 for Cu Ka, from a DFT-relaxed cell (PBE, Alexandria).
Lines closer than 0.1° are merged.

Atomic structure:
```
Ca2Al3Ag4
1.0
2.9056 -8.1028 0.0000
2.9056 8.1028 0.0000
0.0000 0.0000 7.8757
Ca Al Ag
4 6 8
direct
0.1024 0.8976 0.9001 Ca
0.3976 0.6024 0.4001 Ca
0.6024 0.3976 0.5999 Ca
0.8976 0.1024 0.0999 Ca
0.0000 0.0000 0.5000 Al
0.0151 0.4849 0.7500 Al
0.4849 0.0151 0.2500 Al
0.5000 0.5000 0.0000 Al
0.5151 0.9849 0.7500 Al
0.9849 0.5151 0.2500 Al
0.1766 0.8234 0.5165 Ag
0.1829 0.3171 0.7500 Ag
0.3171 0.1829 0.2500 Ag
0.3234 0.6766 0.0165 Ag
0.6766 0.3234 0.9835 Ag
0.6829 0.8171 0.7500 Ag
0.8171 0.6829 0.2500 Ag
0.8234 0.1766 0.4835 Ag
```

The 10 most intense peaks (5° ≤ 2θ ≤ 70°), in order of rising 2θ:
2θ 15.7, rel. 37; 2θ 24.7, rel. 42; 2θ 25.2, rel. 96; 2θ 33.6, rel. 66; 2θ 34.7, rel. 52; 2θ 36.0, rel. 38; 2θ 38.5, rel. 100; 2θ 40.5, rel. 55; 2θ 45.9, rel. 32; 2θ 67.1, rel. 29

=====

Theoretical X-ray powder pattern of Ca2Al9Ag6 for Cu Ka, from a DFT-relaxed cell (PBE, Alexandria).
Lines closer than 0.1° are merged.

Atomic structure:
```
Ca2Al9Ag6
1.0
5.5073 0.0000 0.0000
-2.7536 4.7694 0.0000
0.0000 0.0000 13.3014
Ca Al Ag
2 9 6
direct
0.0000 0.0000 0.1608 Ca
0.0000 0.0000 0.8392 Ca
0.0000 0.5000 0.0000 Al
0.0000 0.5000 0.3352 Al
0.0000 0.5000 0.6648 Al
0.5000 0.0000 0.0000 Al
0.5000 0.0000 0.3352 Al
0.5000 0.0000 0.6648 Al
0.5000 0.5000 0.0000 Al
0.5000 0.5000 0.3352 Al
0.5000 0.5000 0.6648 Al
0.3333 0.6667 0.1674 Ag
0.3333 0.6667 0.5000 Ag
0.3333 0.6667 0.8326 Ag
0.6667 0.3333 0.1674 Ag
0.6667 0.3333 0.5000 Ag
0.6667 0.3333 0.8326 Ag
```

The 10 most intense peaks (5° ≤ 2θ ≤ 70°), in order of rising 2θ:
2θ 18.6, rel. 51; 2θ 20.0, rel. 33; 2θ 27.5, rel. 10; 2θ 32.5, rel. 52; 2θ 38.5, rel. 100; 2θ 40.7, rel. 20; 2θ 43.1, rel. 25; 2θ 53.0, rel. 24; 2θ 62.0, rel. 23; 2θ 68.1, rel. 12

=====

Theoretical X-ray powder pattern of Ca2Al4AgPd3 for Cu Ka, from a DFT-relaxed cell (PBE, Alexandria).
Lines closer than 0.1° are merged.

Atomic structure:
```
Ca2Al4AgPd3
1.0
4.4256 0.0000 0.0000
0.0000 4.4256 0.0000
0.0000 0.0000 10.0633
Ca Al Ag Pd
2 4 1 3
direct
0.0000 0.5000 0.2479 Ca
0.5000 0.0000 0.7521 Ca
0.0000 0.0000 0.5000 Al
0.0000 0.5000 0.8710 Al
0.5000 0.0000 0.1290 Al
0.5000 0.5000 0.5000 Al
0.5000 0.5000 0.0000 Ag
0.0000 0.0000 0.0000 Pd
0.0000 0.5000 0.6256 Pd
0.5000 0.0000 0.3744 Pd
```

The 10 most intense peaks (5° ≤ 2θ ≤ 70°), in order of rising 2θ:
2θ 17.6, rel. 33; 2θ 26.6, rel. 27; 2θ 26.8, rel. 37; 2θ 29.9, rel. 82; 2θ 33.5, rel. 57; 2θ 33.7, rel. 100; 2θ 40.8, rel. 87; 2θ 46.3, rel. 65; 2θ 53.8, rel. 28; 2θ 59.0, rel. 28